Entry 1:
Diffraction record for Ce2NdP3. The PXRD pattern is simulated, not measured: it uses the PBE geometry in Alexandria and a wavelength of 1.5418 Å.

Principal peaks in the range 2θ from 15° to 90°, most intense first:
| 2theta | I (rel.) |
| --- | --- |
| 30.7 | 100 |
| 26.5 | 78 |
| 44.0 | 73 |
| 52.1 | 38 |
| 72.7 | 33 |
| 54.6 | 26 |
| 80.9 | 25 |
| 70.5 | 15 |
| 87.0 | 12 |
| 64.0 | 12 |

Atomic structure:
```
Ce2NdP3
1.0
-2.0574 2.9106 6.1716
2.0574 -2.9106 6.1716
2.0574 2.9106 -6.1716
Ce Nd P
2 1 3
Direct
0.1661 0.1661 0.0000
0.8339 0.8339 0.0000
0.5000 0.5000 0.0000
0.0000 0.5000 0.5000
0.3290 0.8290 0.5000
0.6710 0.1710 0.5000
```


Entry 2:
Diffraction record for MgRe2P2. The PXRD pattern is simulated, not measured: it uses the PBE geometry in Alexandria and a wavelength of 1.5418 Å.

Principal peaks in the range 2θ from 15° to 90°, most intense first:
| 2theta | I (rel.) |
| --- | --- |
| 23.7 | 100 |
| 34.5 | 54 |
| 31.2 | 49 |
| 47.8 | 45 |
| 44.8 | 35 |
| 51.3 | 26 |
| 57.7 | 25 |
| 50.2 | 21 |
| 84.8 | 18 |
| 69.5 | 16 |

Atomic structure:
```
MgRe2P2
1.0
-2.0241 2.0241 5.0900
2.0241 -2.0241 5.0900
2.0241 2.0241 -5.0900
Mg Re P
1 2 2
Direct
0.0000 0.0000 0.0000
0.3763 0.3763 0.0000
0.6237 0.6237 0.0000
0.2500 0.7500 0.5000
0.7500 0.2500 0.5000
```


Entry 3:
Diffraction record for LiHo3S4. The PXRD pattern is simulated, not measured: it uses the PBE geometry in Alexandria and a wavelength of 1.5418 Å.

Principal peaks in the range 2θ from 15° to 90°, most intense first:
| 2theta | I (rel.) |
| --- | --- |
| 32.8 | 100 |
| 47.1 | 71 |
| 28.3 | 63 |
| 16.2 | 35 |
| 78.3 | 32 |
| 55.9 | 31 |
| 23.0 | 31 |
| 87.5 | 25 |
| 58.6 | 25 |
| 36.8 | 19 |

Atomic structure:
```
LiHo3S4
1.0
5.4595 0.0000 0.0000
0.0000 5.4595 0.0000
0.0000 0.0000 5.4595
Li Ho S
1 3 4
Direct
0.0000 0.0000 0.0000
0.0000 0.5000 0.5000
0.5000 0.0000 0.5000
0.5000 0.5000 0.0000
0.0000 0.0000 0.5000
0.0000 0.5000 0.0000
0.5000 0.0000 0.0000
0.5000 0.5000 0.5000
```